For Rb2AlOF5, a cell relaxed with PBE gives the simulated X-ray powder pattern in this record (Cu Kα X-rays).
No peak broadening, texture or thermal motion is included.

Largest 10 diffraction maxima, low angle first, 15 to 90 degrees two-theta:
index  d (Å)  two_theta  I (rel.)
2 0 0  4.878  18.19  24.2
0 2 0  4.132  21.50  21.5
2 2 0  3.154  28.30  47.6
2 0 2  3.007  29.71  50.7
0 2 2  2.804  31.91  40.9
4 0 0  2.440  36.83  29.7
2 2 2  2.431  36.97  100.0
0 4 0  2.066  43.82  19.5
0 0 4  1.909  47.64  21.9
2 4 2  1.703  53.85  19.4

```
data_Rb2AlOF5
_chemical_formula_sum 'Rb8 Al4 O4 F20'
_cell_length_a 9.7608
_cell_length_b 8.2645
_cell_length_c 7.6356
_cell_angle_alpha 90.00
_cell_angle_beta 90.00
_cell_angle_gamma 90.00
_symmetry_space_group_name_H-M 'C m c m'
_symmetry_Int_Tables_number 63
_symmetry_space_group_name_Hall '-C 2c 2'
loop_
_atom_site_label
_atom_site_fract_x
_atom_site_fract_y
_atom_site_fract_z
Rb1 0.2271 0.2284 0.2500
Al1 0.0000 0.5000 0.0000
O1 0.0000 0.0703 0.7500
F1 0.0000 0.2809 0.5083
F2 0.0000 0.4892 0.2500
F3 0.1843 0.5000 0.0000
```